Theoretical X-ray powder pattern of HfZr2Al2Pd5 for Cu Kα, 1.54184 Å, from a PBE-relaxed structure.

Atomic structure:
abc: 9.8496 9.8496 3.5984
angles: 90.00 90.00 90.00
Atoms (fractional coordinates):
Hf: 0.0000 0.0000 0.0000
Hf: 0.5000 0.5000 0.0000
Zr: 0.1763 0.3237 0.0000
Zr: 0.3237 0.8237 0.0000
Zr: 0.6763 0.1763 0.0000
Zr: 0.8237 0.6763 0.0000
Al: 0.1245 0.6245 0.0000
Al: 0.3755 0.1245 0.0000
Al: 0.6245 0.8755 0.0000
Al: 0.8755 0.3755 0.0000
Pd: 0.0000 0.5000 0.5000
Pd: 0.0496 0.7944 0.5000
Pd: 0.2056 0.0496 0.5000
Pd: 0.2944 0.5496 0.5000
Pd: 0.4504 0.2944 0.5000
Pd: 0.5000 0.0000 0.5000
Pd: 0.5496 0.7056 0.5000
Pd: 0.7056 0.4504 0.5000
Pd: 0.7944 0.9504 0.5000
Pd: 0.9504 0.2056 0.5000

Main lines, by angle (2θ = 10–90°):
2θ/deg	intensity
12.7	17
32.1	20
35.9	43
37.7	35
38.2	100
41.0	18
41.5	18
50.7	19